Entry 1:
Structure and simulated XRD peak list of Li2MnCo3O8 (a crystal structure in the Materials Project, relaxed with GGA+U; λ = 1.5418 Å (Cu Kα)).
Neutral-atom scattering factors, no anomalous dispersion.

Cell and atoms:
abc: 5.658 5.747 10.271
angles: 75.88 75.13 61.56
Element x y z (fractional)
Li: 0.245 0.250 0.251
Li: 0.246 0.256 0.749
Li: 0.754 0.744 0.251
Li: 0.755 0.750 0.749
Mn: 0.000 0.000 0.500
Mn: 0.500 0.500 0.000
Co: 0.000 0.000 0.000
Co: 0.000 0.500 0.000
Co: 0.000 0.500 0.500
Co: 0.500 0.000 0.000
Co: 0.500 0.000 0.500
Co: 0.500 0.500 0.500
O: 0.130 0.641 0.603
O: 0.137 0.142 0.601
O: 0.142 0.604 0.110
O: 0.144 0.124 0.097
O: 0.360 0.895 0.391
O: 0.369 0.354 0.406
O: 0.372 0.862 0.897
O: 0.382 0.346 0.896
O: 0.618 0.654 0.104
O: 0.628 0.138 0.103
O: 0.631 0.646 0.594
O: 0.640 0.105 0.609
O: 0.856 0.876 0.903
O: 0.858 0.396 0.890
O: 0.863 0.858 0.399
O: 0.870 0.359 0.397

The 10 most intense peaks (2θ = 15–90°), sorted by position:
index	d_spacing	2theta	I (rel.)
0 0 2	4.912	18.06	100
0 2 0	2.500	35.92	11
2 0 0	2.454	36.61	15
2 2 2	2.404	37.40	10
0 2 -2	2.110	42.87	18
2 0 -2	2.063	43.88	17
2 2 4	2.014	45.02	16
0 2 -4	1.639	56.13	6
2 0 -4	1.609	57.28	5
2 -2 0	1.459	63.81	5

Entry 2:
Structure and simulated XRD peak list of Li4MnCo2O7 (a crystal structure in the Materials Project, relaxed with GGA+U; λ = 1.5418 Å (Cu Kα)).
Neutral-atom scattering factors, no anomalous dispersion.

Cell and atoms:
abc: 5.077 5.126 10.149
angles: 99.72 101.20 97.93
Element x y z (fractional)
Li: 0.000 0.000 0.000
Li: 0.000 0.000 0.500
Li: 0.140 0.569 0.152
Li: 0.282 0.141 0.294
Li: 0.433 0.727 0.435
Li: 0.567 0.273 0.565
Li: 0.718 0.859 0.706
Li: 0.860 0.431 0.848
Mn: 0.424 0.713 0.926
Mn: 0.576 0.287 0.074
Co: 0.133 0.579 0.638
Co: 0.283 0.141 0.780
Co: 0.717 0.859 0.220
Co: 0.867 0.421 0.362
O: 0.036 0.782 0.313
O: 0.090 0.781 0.832
O: 0.202 0.378 0.460
O: 0.248 0.374 0.962
O: 0.352 0.935 0.622
O: 0.389 0.939 0.099
O: 0.487 0.524 0.762
O: 0.513 0.476 0.238
O: 0.611 0.061 0.901
O: 0.648 0.065 0.378
O: 0.752 0.626 0.038
O: 0.798 0.622 0.540
O: 0.910 0.219 0.168
O: 0.964 0.218 0.687

The 10 most intense peaks (2θ = 15–90°), sorted by position:
index	d_spacing	2theta	I (rel.)
1 0 -1	4.833	18.36	100
0 2 -1	2.535	35.42	15
0 1 3	2.500	35.92	13
1 -1 3	2.460	36.53	11
1 2 -2	2.120	42.65	29
-1 1 4	2.077	43.57	27
2 -1 2	2.038	44.45	25
2 1 -6	1.486	62.49	7
0 3 2	1.481	62.73	8
1 -3 4	1.461	63.68	14

Entry 3:
Structure and simulated XRD peak list of Li4MnCo2O7 (a crystal structure in the Materials Project, relaxed with GGA+U; λ = 1.5418 Å (Cu Kα)).
Neutral-atom scattering factors, no anomalous dispersion.

Cell and atoms:
abc: 3.022 5.997 14.231
angles: 82.84 84.32 84.96
Element x y z (fractional)
Li: 0.000 0.000 0.000
Li: 0.000 0.500 0.000
Li: 0.141 0.071 0.715
Li: 0.285 0.644 0.430
Li: 0.433 0.209 0.140
Li: 0.567 0.791 0.860
Li: 0.715 0.356 0.570
Li: 0.859 0.929 0.285
Mn: 0.141 0.571 0.715
Mn: 0.859 0.429 0.285
Co: 0.284 0.141 0.429
Co: 0.436 0.729 0.137
Co: 0.564 0.271 0.863
Co: 0.716 0.859 0.571
O: 0.051 0.054 0.857
O: 0.097 0.524 0.853
O: 0.188 0.618 0.576
O: 0.241 0.096 0.565
O: 0.333 0.184 0.292
O: 0.384 0.674 0.275
O: 0.488 0.743 0.013
O: 0.512 0.257 0.987
O: 0.616 0.326 0.725
O: 0.667 0.816 0.708
O: 0.759 0.904 0.435
O: 0.812 0.382 0.424
O: 0.903 0.476 0.147
O: 0.949 0.946 0.143

The 10 most intense peaks (2θ = 15–90°), sorted by position:
index	d_spacing	2theta	I (rel.)
0 1 2	4.821	18.40	100
1 1 -1	2.644	33.91	21
1 -1 2	2.458	36.56	12
0 1 -5	2.433	36.95	14
1 2 1	2.220	40.64	37
1 -2 0	2.033	44.57	27
0 0 7	2.009	45.13	25
2 0 1	1.505	61.62	9
0 4 1	1.493	62.16	8
1 2 8	1.487	62.48	8